No. 1
Starting from the PBE geometry in the Materials Project, the XRD peak list of Gd6CoBr10 was simulated for Cu Ka.
Neutral-atom scattering factors, no anomalous dispersion.

Principal peaks in the range 10° ≤ 2θ ≤ 90°, by angle:
d/Å  2θ/deg  I_rel  index
8.496  10.41  50  0 0 1
8.149  10.86  50  0 1 0
7.460  11.86  21  0 1 -1
2.961  30.18  96  2 0 1
2.945  30.35  100  1 1 -3
2.884  31.01  89  1 -3 0
2.128  42.48  32  3 -3 1
2.112  42.81  35  3 1 -2
2.065  43.84  68  1 -1 4
2.055  44.06  31  -2 2 3
2.009  45.12  32  1 3 1
1.715  53.43  19  2 -4 4

```
Gd6CoBr10
1.0
7.4102 0.0000 0.0000
-2.5423 8.8046 0.0000
-1.1900 -3.4775 8.4962
Gd Co Br
6 1 10
Cartesian
-0.8149 0.3793 3.4526
-0.7688 3.9190 2.1348
0.2659 3.2573 5.7891
3.4120 2.0699 2.7071
4.4467 1.4081 6.3614
4.4928 4.9478 5.0436
-1.8661 2.6636 4.2481
-1.9349 6.5491 2.7333
0.7551 1.5575 1.1888
-0.6697 1.8334 8.1831
-0.6528 5.8212 6.6222
1.8355 0.7767 4.9806
1.8424 4.5505 3.5157
4.3307 -0.4940 1.8740
4.3476 3.4938 0.3131
2.9229 3.7696 7.3074
5.6128 -1.2219 5.7629
```

No. 2
Starting from the PBE geometry in the Materials Project, the XRD peak list of Li9CrN5 was simulated for Cu Ka.
Neutral-atom scattering factors, no anomalous dispersion.

Principal peaks in the range 10° ≤ 2θ ≤ 90°, by angle:
d/Å  2θ/deg  I_rel  index
5.261  16.85  100  0 1 1
4.891  18.14  80  1 0 1
4.781  18.56  93  1 1 0
4.459  19.91  64  0 1 -1
4.001  22.22  49  1 0 -1
3.749  23.73  54  1 -1 0
3.632  24.51  46  0 0 2
3.436  25.93  36  1 1 2
3.208  27.81  50  1 2 1
2.775  32.25  76  0 2 -1
1.697  54.02  84  1 4 1
1.694  54.15  57  3 2 3

```
Li9CrN5
1.0
5.8531 0.0000 0.0000
1.9387 6.5090 0.0000
1.9599 1.2171 7.2648
Li Cr N
18 2 10
Cartesian
1.5137 3.2334 1.0800
2.4079 6.2262 1.0413
3.2447 6.0651 3.2025
2.3524 2.9379 3.2238
3.3485 2.5606 5.3297
2.3859 1.1016 0.3357
3.4387 4.2482 0.5014
3.2666 0.7408 2.6057
4.2826 4.0770 2.6189
5.4692 3.6491 4.6459
6.4851 6.9853 4.6591
6.3131 3.4779 6.7635
7.3658 6.6245 6.9291
6.4032 5.1655 1.9351
7.3993 4.7882 4.0410
6.5070 1.6610 4.0623
7.3438 1.4999 6.2235
8.2380 4.4926 6.1848
4.4090 5.8041 5.4622
5.3427 1.9220 1.8027
1.1737 1.4064 2.0506
2.4143 4.6194 2.1794
4.4065 4.2673 6.3557
5.3279 7.0705 6.3713
5.1990 5.5782 3.9030
4.5527 2.1479 3.3618
4.4239 0.6556 0.8935
5.3452 3.4588 0.9091
7.3374 3.1067 5.0854
8.5780 6.3197 5.2142
```

No. 3
Starting from the PBE geometry in the Materials Project, the XRD peak list of ThIr was simulated for Cu Ka.
Neutral-atom scattering factors, no anomalous dispersion.

Principal peaks in the range 10° ≤ 2θ ≤ 90°, by angle:
d/Å  2θ/deg  I_rel  index
2.866  31.21  45  0 4 0
2.786  32.13  100  1 1 1
2.369  37.98  14  0 4 1
2.296  39.24  68  1 3 1
2.105  42.97  25  0 0 2
1.964  46.21  20  2 0 0
1.792  50.96  14  1 5 1
1.696  54.06  20  0 4 2
1.620  56.82  17  2 4 0
1.512  61.31  16  1 7 0
1.436  64.93  15  2 0 2
1.284  73.80  16  2 4 2

```
ThIr
1.0
3.9290 0.0000 0.0000
0.0000 11.4646 0.0000
0.0000 0.0000 4.2094
Th Ir
4 4
Cartesian
0.0000 1.5705 1.0524
0.0000 9.8941 3.1571
1.9645 4.1618 3.1571
1.9645 7.3028 1.0524
0.0000 4.6070 1.0524
0.0000 6.8576 3.1571
1.9645 1.1253 3.1571
1.9645 10.3393 1.0524
```